Simulated X-ray diffraction stick pattern of Li2VCrP2H2O10 for Cu Kα, 1.54184 Å, from the GGA+U geometry in Alexandria.

Largest 8 diffraction maxima, in order of rising 2θ, 15 to 90 degrees two-theta:
Position (°2θ), d [Å], intensity, h k l
17.61, 5.036, 37, 0 1 0
18.54, 4.786, 34, 1 0 -1
18.81, 4.717, 43, 1 0 0
25.67, 3.470, 38, -1 1 1
26.64, 3.347, 98, 1 0 -2
26.76, 3.331, 100, 0 1 -2
29.06, 3.072, 86, 1 1 0
35.87, 2.503, 38, 1 -2 0

Cell and atoms:
```
data_Li2VCrP2H2O10
_space_group_name_H-M_alt 'P -1'
_space_group_IT_number 2
_cell_length_a 5.152
_cell_length_b 5.438
_cell_length_c 7.376
_cell_angle_alpha 106.68
_cell_angle_beta 108.73
_cell_angle_gamma 98.06
loop_
_space_group_symop_operation_xyz
'x,y,z'
'-x,-y,-z'
loop_
_atom_site_label
_atom_site_type_symbol
_atom_site_fract_x
_atom_site_fract_y
_atom_site_fract_z
Li1 Li 0.245 0.395 0.327
V1 V 0.500 0.000 0.000
Cr1 Cr 0.500 0.000 0.500
P1 P 0.174 0.358 0.729
H1 H 0.137 0.937 0.161
O1 O 0.133 0.751 0.433
O2 O 0.194 0.655 0.838
O3 O 0.223 0.206 0.879
O4 O 0.337 0.044 0.225
O5 O 0.386 0.338 0.617
```